Record 1
Calculated PXRD pattern
Compound: RbCd4Cl8
Radiation: CuKα
Structure: the PBE geometry in Alexandria

Most intense lines, 10° ≤ 2θ ≤ 90°, in order of falling intensity:
Position (°2θ)	intensity	hkl
12.89	100.0	1 1 1
24.83	95.7	3 1 1
43.03	80.0	4 4 0
30.06	75.5	4 0 0
39.37	64.3	5 1 1
45.11	21.1	5 3 1
59.73	20.9	5 5 3
78.87	18.8	8 4 4
84.23	16.5	9 5 1
50.32	15.8	5 3 3

Structure:
a = 11.8912 Å, b = 11.8912 Å, c = 11.8912 Å
α = 90.00°, β = 90.00°, γ = 90.00°
Space group F-43m (No. 216)
Inequivalent atoms, fractional coordinates:
Rb1 0.0000 0.0000 0.0000
Cd1 0.1211 0.1211 0.3789
Cl1 0.1089 0.1089 0.6089
Cl2 0.1477 0.1477 0.1477



Record 2
Calculated PXRD pattern
Compound: Rb2CdReCl6
Radiation: CuKα
Structure: the PBE geometry in Alexandria

Most intense lines, 10° ≤ 2θ ≤ 90°, in order of falling intensity:
Position (°2θ)	intensity	hkl
22.76	100.0	2 2 0
32.40	53.9	4 0 0
39.96	41.9	4 2 2
46.48	34.8	4 4 0
16.04	29.2	2 0 0
62.92	27.0	6 4 2
52.35	25.9	6 2 0
13.88	16.7	1 1 1
77.19	12.7	8 4 0
36.35	11.4	4 2 0

Structure:
a = 11.0532 Å, b = 11.0532 Å, c = 11.0532 Å
α = 90.00°, β = 90.00°, γ = 90.00°
Space group Fm-3m (No. 225)
Inequivalent atoms, fractional coordinates:
Rb1 0.2500 0.2500 0.2500
Cd1 0.0000 0.0000 0.0000
Re1 0.0000 0.0000 0.5000
Cl1 0.0000 0.0000 0.2836



Record 3
Calculated PXRD pattern
Compound: RbTiCdCl6
Radiation: CuKα
Structure: the PBE geometry in Alexandria

Most intense lines, 10° ≤ 2θ ≤ 90°, in order of falling intensity:
Position (°2θ)	intensity	hkl
19.58	100.0	1 0 2
36.55	72.9	1 1 4
29.22	34.3	1 1 2
12.35	34.1	0 0 2
46.56	33.7	3 0 0
42.79	25.9	2 1 2
58.29	24.0	2 -1 8
33.07	17.4	2 0 2
26.38	16.5	1 1 0
79.71	14.1	4 1 4

Structure:
a = 6.7566 Å, b = 6.7566 Å, c = 14.3387 Å
α = 90.00°, β = 90.00°, γ = 120.00°
Space group P-31c (No. 163)
Inequivalent atoms, fractional coordinates:
Rb1 0.0000 0.0000 0.0000
Ti1 0.3333 0.6667 0.2500
Cd1 0.3333 0.6667 0.7500
Cl1 0.0257 0.3909 0.1504



Record 4
Calculated PXRD pattern
Compound: RbZn2CdCl8
Radiation: CuKα
Structure: the PBE geometry in Alexandria

Most intense lines, 10° ≤ 2θ ≤ 90°, in order of falling intensity:
Position (°2θ)	intensity	hkl
20.40	100.0	1 0 4
27.58	50.6	1 1 0
48.49	45.7	1 1 12
48.76	39.2	3 0 0
33.85	35.0	2 -1 6
30.38	33.6	0 1 8
29.26	30.4	1 1 3
34.54	30.0	0 2 4
44.75	27.2	2 1 4
50.54	15.6	3 -2 8

Structure:
a = 6.4700 Å, b = 6.4700 Å, c = 27.6625 Å
α = 90.00°, β = 90.00°, γ = 120.00°
Space group R-3 (No. 148, hexagonal axes)
Inequivalent atoms, fractional coordinates:
Rb1 0.0000 0.0000 0.0000
Zn1 0.0000 0.0000 0.2457
Cd1 0.0000 0.0000 0.5000
Cl1 0.0000 0.0000 0.3281
Cl2 0.0031 0.6758 0.1103



Record 5
Calculated PXRD pattern
Compound: CdSiRhCl
Radiation: CuKα
Structure: the PBE geometry in Alexandria

Most intense lines, 10° ≤ 2θ ≤ 90°, in order of falling intensity:
Position (°2θ)	intensity	hkl
10.94	100.0	0 0 1
35.37	27.5	0 1 1
35.83	25.9	1 0 -2
54.70	22.0	1 1 -1
33.25	20.8	0 0 3
36.95	20.6	1 -1 2
41.27	18.0	0 1 -3
40.84	17.7	1 0 2
31.09	16.6	1 0 0
39.50	16.3	-1 1 2

Structure:
a = 3.3472 Å, b = 3.3576 Å, c = 8.2532 Å
α = 98.80°, β = 92.14°, γ = 119.88°
Space group P1 (No. 1)
Inequivalent atoms, fractional coordinates:
Cd1 0.0000 0.0000 0.0000
Si1 0.8455 0.7644 0.5844
Rh1 0.5708 0.1866 0.7403
Cl1 0.7476 0.6072 0.3210



Record 6
Calculated PXRD pattern
Compound: Cd2RuCl
Radiation: CuKα
Structure: the PBE geometry in Alexandria

Most intense lines, 10° ≤ 2θ ≤ 90°, in order of falling intensity:
Position (°2θ)	intensity	hkl
36.05	100.0	0 1 2
10.90	82.8	0 0 1
35.90	64.6	1 0 2
40.29	52.5	1 1 0
41.86	34.7	1 1 -1
43.95	31.4	1 0 -3
70.29	26.1	2 1 2
71.82	21.1	1 1 -5
28.09	21.0	1 0 0
44.64	20.0	0 0 4

Structure:
a = 3.1765 Å, b = 3.1556 Å, c = 8.1188 Å
α = 90.00°, β = 90.08°, γ = 90.00°
Space group P2/m (No. 10)
Inequivalent atoms, fractional coordinates:
Cd1 0.0006 0.0000 0.2195
Ru1 0.5000 0.5000 0.0000
Cl1 0.0000 0.5000 0.5000



Record 7
Calculated PXRD pattern
Compound: CdS2Cl
Radiation: CuKα
Structure: the PBE geometry in Alexandria

Most intense lines, 10° ≤ 2θ ≤ 90°, in order of falling intensity:
Position (°2θ)	intensity	hkl
30.76	100.0	1 1 0
21.49	86.7	0 1 0
31.40	82.9	0 0 2
15.55	82.7	0 0 1
33.08	66.7	1 -1 1
22.89	53.0	1 0 0
39.59	35.0	1 1 2
32.42	31.7	1 -1 0
44.97	30.8	2 0 1
38.50	24.6	0 1 2

Structure:
a = 4.0464 Å, b = 4.1411 Å, c = 5.9277 Å
α = 89.59°, β = 74.00°, γ = 87.06°
Space group P-1 (No. 2)
Inequivalent atoms, fractional coordinates:
Cd1 0.0000 0.0000 0.0000
S1 0.1783 0.8767 0.5586
Cl1 0.5000 0.5000 0.0000



Record 8
Calculated PXRD pattern
Compound: Cd3SbCl
Radiation: CuKα
Structure: the PBE geometry in Alexandria

Most intense lines, 10° ≤ 2θ ≤ 90°, in order of falling intensity:
Position (°2θ)	intensity	hkl
26.92	100.0	1 1 3
40.55	42.4	3 0 0
36.23	35.2	1 1 6
16.11	30.0	0 1 2
32.55	22.5	0 2 4
48.32	19.5	1 1 9
49.35	14.5	2 2 3
72.15	14.5	3 0 12
22.64	13.8	1 0 4
27.54	13.1	0 0 6

Structure:
a = 7.7065 Å, b = 7.7065 Å, c = 19.4318 Å
α = 90.00°, β = 90.00°, γ = 120.00°
Space group R3c (No. 161, hexagonal axes)
Inequivalent atoms, fractional coordinates:
Cd1 0.0003 0.3661 0.0000
Sb1 0.0000 0.0000 0.2499
Cl1 0.0000 0.0000 0.0003